This entry pairs a crystal structure of HoTm2Sc4 with its simulated PXRD pattern. Radiation: CuKα. Structure: the PBE geometry in Alexandria.
Intensities are scaled so that the largest is 100.

Most intense lines, 2θ = 10–90°, low angle first:
two_theta, intensity, (hkl)
16.09, 47, 0 2 0
26.71, 56, 3 1 0
29.09, 39, 1 1 1
32.50, 40, 0 4 0
35.41, 33, 3 3 0
35.69, 100, 2 2 1
52.02, 24, 5 1 1
60.07, 20, 2 6 1

Cell and atoms:
```
data_HoTm2Sc4
_space_group_name_H-M_alt 'C m m m'
_space_group_IT_number 65
_space_group_name_Hall '-C 2 2'
_cell_length_a 10.5071
_cell_length_b 11.0190
_cell_length_c 3.3549
_cell_angle_alpha 90.00
_cell_angle_beta 90.00
_cell_angle_gamma 90.00
loop_
_atom_site_label
_atom_site_type_symbol
_atom_site_fract_x
_atom_site_fract_y
_atom_site_fract_z
Ho1 Ho 0.0000 0.0000 0.0000
Tm1 Tm 0.1965 0.5000 0.5000
Sc1 Sc 0.0000 0.2703 0.5000
Sc2 Sc 0.2500 0.2500 0.0000
```